Simulated X-ray powder pattern of CaEuTi4O12 for copper Kα, from the GGA-PBE geometry in Alexandria.
Peak positions follow from Bragg's law for the DFT cell and can differ from measured ones.

Unit cell a=7.761 b=7.688 c=7.707 alpha=90.00 beta=90.00 gamma=90.00
Space group Amm2 (No. 38)
Inequivalent atoms, fractional coordinates:
Ca 0.000 0.000 0.000 x2
Eu 0.500 0.000 0.456 x2
Ti 0.246 0.241 0.727 x8
O 0.000 0.224 0.213 x4
O 0.212 0.000 0.774 x4
O 0.265 0.212 0.477 x8
O 0.271 0.000 0.205 x4
O 0.500 0.219 0.722 x4

Principal peaks in the range 15° ≤ 2θ ≤ 90°, in order of rising 2θ:
d 5.443, 16.28°, intensity 23
d 4.456, 19.92°, intensity 100
d 3.449, 25.83°, intensity 19
d 2.733, 32.77°, intensity 70
d 2.721, 32.91°, intensity 38
d 2.322, 38.77°, intensity 33
d 1.940, 46.82°, intensity 19
d 1.573, 58.68°, intensity 29